For La6Pr16Ho7, a PBE-relaxed structure gives the theoretical PXRD pattern in this record (Cu Kα).

The 6 most intense peaks (2θ from 5° to 70°), in order of falling intensity:
two_theta  I (rel.)
31.31  100
28.71  26
55.74  20
44.87  12
42.99  11
27.03  9

Crystal structure
a = 16.1592 Å, b = 16.1592 Å, c = 16.1592 Å
α = 90.00°, β = 90.00°, γ = 90.00°
Space group Fm-3m (No. 225)
Asymmetric unit:
La (0.0000, 0.0000, 0.2084) [24 per cell]
Pr (0.1226, 0.1226, 0.3774) [32 per cell]
Pr (0.1541, 0.1541, 0.1541) [32 per cell]
Ho (0.0000, 0.0000, 0.5000) [4 per cell]
Ho (0.0000, 0.2500, 0.2500) [24 per cell]

---

For Sm2O3, a PBE-relaxed structure gives the theoretical PXRD pattern in this record (Cu Kα).

The 6 most intense peaks (2θ from 5° to 70°), in order of falling intensity:
two_theta  I (rel.)
31.01  100
47.94  31
27.13  28
29.72  28
53.56  28
57.43  27

Crystal structure
a = 3.7954 Å, b = 3.7954 Å, c = 6.0117 Å
α = 90.00°, β = 90.00°, γ = 120.00°
Space group P-3m1 (No. 164)
Asymmetric unit:
Sm (0.3333, 0.6667, 0.2492) [2 per cell]
O (0.0000, 0.0000, 0.0000) [1 per cell]
O (0.3333, 0.6667, 0.6450) [2 per cell]

---

For PmEr5Ga6, a PBE-relaxed structure gives the theoretical PXRD pattern in this record (Cu Kα).

The 6 most intense peaks (2θ from 5° to 70°), in order of falling intensity:
two_theta  I (rel.)
35.67  100
64.07  36
51.33  18
25.01  18
57.93  7
44.06  5

Crystal structure
a = 5.0349 Å, b = 15.1100 Å, c = 7.1154 Å
α = 90.00°, β = 90.00°, γ = 90.00°
Space group Cmmm (No. 65)
Asymmetric unit:
Pm (0.0000, 0.0000, 0.0000) [2 per cell]
Er (0.0000, 0.0000, 0.5000) [2 per cell]
Er (0.0000, 0.3324, 0.0000) [4 per cell]
Er (0.0000, 0.3359, 0.5000) [4 per cell]
Ga (0.0000, 0.1696, 0.2552) [8 per cell]
Ga (0.0000, 0.5000, 0.2545) [4 per cell]